YErZrIn: simulated X-ray diffraction stick pattern (a wavelength of 1.5418 Å), based on a DFT-relaxed cell (PBE, Alexandria).
Lines closer than 0.1° are merged.

Crystal structure
Cell: 7.531 7.531 7.531 Å, 90.00 90.00 90.00°
Space group F-43m (No. 216)
Inequivalent atoms, fractional coordinates:
Y 0.000 0.000 0.000 [4 per cell]
Er 0.000 0.000 0.500 [4 per cell]
Zr 0.250 0.250 0.750 [4 per cell]
In 0.250 0.250 0.250 [4 per cell]

Largest 6 diffraction maxima, in order of falling intensity, 15 to 90 degrees two-theta:
2θ = 33.66°, rel. 100.0, (2 2 0)
2θ = 60.19°, rel. 36.5, (4 2 2)
2θ = 48.34°, rel. 17.8, (4 0 0)
2θ = 80.69°, rel. 15.5, (6 2 0)
2θ = 70.77°, rel. 11.1, (4 4 0)
2θ = 20.42°, rel. 6.1, (1 1 1)



Er3ZnIn3: simulated X-ray diffraction stick pattern (a wavelength of 1.5418 Å), based on a DFT-relaxed cell (PBE, Alexandria).
Lines closer than 0.1° are merged.

Crystal structure
Cell: 11.120 4.583 14.768 Å, 90.00 108.77 90.00°
Space group C2/m (No. 12)
Inequivalent atoms, fractional coordinates:
Er 0.035 0.000 0.382 [4 per cell]
Er 0.097 0.000 0.919 [4 per cell]
Er 0.236 0.000 0.224 [4 per cell]
Zn 0.242 0.500 0.383 [4 per cell]
In 0.022 0.500 0.235 [4 per cell]
In 0.123 0.500 0.074 [4 per cell]
In 0.139 0.500 0.545 [4 per cell]

Largest 6 diffraction maxima, in order of falling intensity, 15 to 90 degrees two-theta:
2θ = 31.10°, rel. 100.0, (1 1 -4)
2θ = 37.68°, rel. 56.9, (3 1 2)
2θ = 39.33°, rel. 49.5, (0 2 0)
2θ = 32.25°, rel. 37.2, (4 0 -2)
2θ = 30.41°, rel. 34.3, (1 1 3)
2θ = 38.66°, rel. 24.2, (0 0 6)



LaErIr: simulated X-ray diffraction stick pattern (a wavelength of 1.5418 Å), based on a DFT-relaxed cell (PBE, Alexandria).
Lines closer than 0.1° are merged.

Crystal structure
Cell: 6.548 7.093 10.096 Å, 90.00 128.72 90.00°
Space group P2_1/c (No. 14)
Inequivalent atoms, fractional coordinates:
La 0.149 0.082 0.386 [4 per cell]
Er 0.375 0.577 0.613 [4 per cell]
Ir 0.359 0.745 0.355 [4 per cell]

Largest 6 diffraction maxima, in order of falling intensity, 15 to 90 degrees two-theta:
2θ = 37.40°, rel. 100.0, (2 2 -2)
2θ = 44.71°, rel. 61.0, (0 3 2)
2θ = 28.99°, rel. 58.3, (1 1 1)
2θ = 28.63°, rel. 56.5, (1 2 -1)
2θ = 29.63°, rel. 56.2, (1 1 -3)
2θ = 38.44°, rel. 41.8, (2 1 -4)



LaErIrO6: simulated X-ray diffraction stick pattern (a wavelength of 1.5418 Å), based on a DFT-relaxed cell (PBE, Alexandria).
Lines closer than 0.1° are merged.

Crystal structure
Cell: 5.4954 5.4954 5.1391 Å, 90.00 90.00 120.00°
Space group P312 (No. 149)
Inequivalent atoms, fractional coordinates:
La 0.0000 0.0000 0.0000 [1 per cell]
Er 0.3333 0.6667 0.5000 [1 per cell]
Ir 0.6667 0.3333 0.5000 [1 per cell]
O 0.3756 0.0369 0.7172 [6 per cell]

Largest 6 diffraction maxima, in order of falling intensity, 15 to 90 degrees two-theta:
2θ = 25.51°, rel. 100.0, (1 0 1)
2θ = 32.59°, rel. 52.3, (1 1 0)
2θ = 48.51°, rel. 49.4, (2 -1 2)
2θ = 41.83°, rel. 26.1, (2 0 1)
2θ = 54.01°, rel. 25.4, (3 -1 1)
2θ = 17.26°, rel. 23.8, (0 0 1)



La2ErP3Ir12: simulated X-ray diffraction stick pattern (a wavelength of 1.5418 Å), based on a DFT-relaxed cell (PBE, Alexandria).
Lines closer than 0.1° are merged.

Crystal structure
Cell: 9.1619 9.1619 12.9197 Å, 90.00 90.00 120.00°
Space group R-3m (No. 166, hexagonal axes)
Inequivalent atoms, fractional coordinates:
La 0.0000 0.0000 0.1265 [6 per cell]
Er 0.0000 0.0000 0.5000 [3 per cell]
P 0.0000 0.5000 0.0000 [9 per cell]
Ir 0.0058 0.5029 0.8265 [18 per cell]
Ir 0.0186 0.5093 0.3800 [18 per cell]

Largest 6 diffraction maxima, in order of falling intensity, 15 to 90 degrees two-theta:
2θ = 39.34°, rel. 100.0, (2 2 0)
2θ = 35.85°, rel. 39.2, (0 2 4)
2θ = 41.72°, rel. 22.4, (2 0 5)
2θ = 71.32°, rel. 16.4, (6 0 0)
2θ = 36.57°, rel. 15.3, (0 1 5)
2θ = 78.66°, rel. 13.1, (2 2 9)



Er6MgIr5: simulated X-ray diffraction stick pattern (a wavelength of 1.5418 Å), based on a DFT-relaxed cell (PBE, Alexandria).
Lines closer than 0.1° are merged.

Crystal structure
Cell: 4.767 14.395 7.103 Å, 90.00 90.00 90.00°
Space group Cmmm (No. 65)
Inequivalent atoms, fractional coordinates:
Er 0.000 0.000 0.235 [4 per cell]
Er 0.000 0.328 0.246 [8 per cell]
Mg 0.000 0.500 0.500 [2 per cell]
Ir 0.000 0.157 0.500 [4 per cell]
Ir 0.000 0.169 0.000 [4 per cell]
Ir 0.000 0.500 0.000 [2 per cell]

Largest 6 diffraction maxima, in order of falling intensity, 15 to 90 degrees two-theta:
2θ = 36.70°, rel. 100.0, (1 3 2)
2θ = 37.74°, rel. 23.5, (2 0 0)
2θ = 37.49°, rel. 23.1, (0 6 0)
2θ = 67.46°, rel. 17.1, (3 3 2)
2θ = 67.12°, rel. 16.2, (1 9 2)
2θ = 54.25°, rel. 16.1, (2 6 0)